Entry 1:
Mg15Ga: theoretical powder X-ray diffraction pattern (CuKα), based on a structure optimized by DFT (GGA-PBE).
Neutral-atom scattering factors, no anomalous dispersion.

The 12 most intense peaks (10 to 90 degrees two-theta), in order of rising 2θ:
2θ 16.09, rel. 6; 2θ 18.29, rel. 8; 2θ 23.73, rel. 4; 2θ 32.51, rel. 25; 2θ 35.08, rel. 26; 2θ 37.07, rel. 100; 2θ 48.57, rel. 15; 2θ 57.99, rel. 17; 2θ 64.24, rel. 19; 2θ 69.61, rel. 19; 2θ 70.86, rel. 14; 2θ 78.95, rel. 3

a b c (Å): 6.3611 6.3611 10.2328
angles (deg): 90.00 90.00 120.00
Sites, in units of the cell vectors:
1 Mg 0.0000 0.0000 0.0000
2 Mg 0.9995 0.4998 0.0000
3 Mg 0.0013 0.5006 0.5000
4 Mg 0.3315 0.1658 0.2524
5 Mg 0.3315 0.1658 0.7476
6 Mg 0.3333 0.6667 0.2500
7 Mg 0.3333 0.6667 0.7500
8 Mg 0.4994 0.5006 0.5000
9 Mg 0.4994 0.9987 0.5000
10 Mg 0.5002 0.0005 0.0000
11 Mg 0.5002 0.4998 0.0000
12 Mg 0.8342 0.1658 0.2524
13 Mg 0.8342 0.1658 0.7476
14 Mg 0.8342 0.6685 0.2524
15 Mg 0.8342 0.6685 0.7476
16 Ga 0.0000 0.0000 0.5000

Entry 2:
MgGa: theoretical powder X-ray diffraction pattern (CuKα), based on a structure optimized by DFT (GGA-PBE).
Neutral-atom scattering factors, no anomalous dispersion.

The 12 most intense peaks (10 to 90 degrees two-theta), in order of rising 2θ:
2θ 13.45, rel. 56; 2θ 16.37, rel. 31; 2θ 28.90, rel. 18; 2θ 32.92, rel. 40; 2θ 35.36, rel. 25; 2θ 37.21, rel. 61; 2θ 37.41, rel. 100; 2θ 38.48, rel. 87; 2θ 39.09, rel. 34; 2θ 41.14, rel. 32; 2θ 57.16, rel. 18; 2θ 61.93, rel. 25

a b c (Å): 5.8280 5.8280 6.8090
angles (deg): 104.25 104.25 32.11
Sites, in units of the cell vectors:
1 Mg 0.0000 0.0000 0.0000
2 Mg 0.0432 0.0432 0.5672
3 Mg 0.3218 0.3218 0.6420
4 Ga 0.3714 0.3714 0.2480
5 Ga 0.6661 0.6661 0.3072
6 Ga 0.7183 0.7183 0.9259

Repeat the second record exactly.
MgGa: theoretical powder X-ray diffraction pattern (CuKα), based on a structure optimized by DFT (GGA-PBE).
Neutral-atom scattering factors, no anomalous dispersion.

The 12 most intense peaks (10 to 90 degrees two-theta), in order of rising 2θ:
2θ 13.45, rel. 56; 2θ 16.37, rel. 31; 2θ 28.90, rel. 18; 2θ 32.92, rel. 40; 2θ 35.36, rel. 25; 2θ 37.21, rel. 61; 2θ 37.41, rel. 100; 2θ 38.48, rel. 87; 2θ 39.09, rel. 34; 2θ 41.14, rel. 32; 2θ 57.16, rel. 18; 2θ 61.93, rel. 25

a b c (Å): 5.8280 5.8280 6.8090
angles (deg): 104.25 104.25 32.11
Sites, in units of the cell vectors:
1 Mg 0.0000 0.0000 0.0000
2 Mg 0.0432 0.0432 0.5672
3 Mg 0.3218 0.3218 0.6420
4 Ga 0.3714 0.3714 0.2480
5 Ga 0.6661 0.6661 0.3072
6 Ga 0.7183 0.7183 0.9259